Diffraction record for Mg6Si5. The X-ray powder pattern is theoretical, not measured: it uses a PBE-relaxed structure and Cu Kα, 1.54184 Å.
Peak positions follow from Bragg's law for the DFT cell and can differ from measured ones.

Largest 8 diffraction maxima, by intensity, 10° ≤ 2θ ≤ 90°:
- (1 -1 4), 33.9°, I 100
- (2 0 0), 42.1°, I 85
- (-1 2 2), 36.8°, I 50
- (1 2 2), 37.5°, I 43
- (1 2 -1), 33.4°, I 42
- (1 0 -5), 37.9°, I 36
- (1 -2 1), 32.9°, I 30
- (1 0 5), 38.2°, I 30

Cell and atoms:
a = 4.293 Å, b = 6.988 Å, c = 14.327 Å
α = 98.72°, β = 90.34°, γ = 90.94°
Sites, in units of the cell vectors:
Mg 0.000 0.000 0.000
Mg 0.000 0.108 0.338
Mg 0.015 0.607 0.416
Mg 0.023 0.305 0.576
Mg 0.490 0.789 0.837
Mg 0.494 0.380 0.060
Mg 0.499 0.029 0.168
Mg 0.502 0.438 0.277
Mg 0.519 0.606 0.622
Mg 0.532 0.063 0.676
Mg 0.977 0.535 0.927
Mg 0.996 0.695 0.173
Si 0.005 0.914 0.548
Si 0.016 0.804 0.703
Si 0.033 0.099 0.816
Si 0.303 0.391 0.770
Si 0.490 0.826 0.311
Si 0.491 0.744 0.025
Si 0.507 0.008 0.469
Si 0.513 0.353 0.454
Si 0.546 0.201 0.883
Si 0.999 0.285 0.168